No. 1
Simulated XRD peak list of PaGaNiAu for Cu Kα (λ = 1.5418 Å), from a cell relaxed with PBE.
No peak broadening, texture or thermal motion is included.

Structure:
```
PaGaNiAu
1.0
0.0000 3.3439 3.3439
3.3439 0.0000 3.3439
3.3439 3.3439 0.0000
Pa Ga Ni Au
1 1 1 1
Direct
0.0000 0.0000 0.0000
0.5000 0.5000 0.5000
0.7500 0.7500 0.7500
0.2500 0.2500 0.2500
```

Main lines, by intensity (2θ from 10° to 90°):
- 38.06 deg, I 100
- 68.77 deg, I 35
- 23.03 deg, I 30
- 54.92 deg, I 17
- 44.95 deg, I 17
- 81.40 deg, I 11
- 60.33 deg, I 7
- 86.00 deg, I 6
- 73.59 deg, I 6

***

No. 2
Simulated XRD peak list of Sm2Ga4Ni3Au for Cu Kα (λ = 1.5418 Å), from a cell relaxed with PBE.
No peak broadening, texture or thermal motion is included.

Structure:
```
Sm2Ga4Ni3Au
1.0
4.1340 0.0000 0.0000
0.0000 4.1340 0.0000
0.0000 0.0000 10.3508
Sm Ga Ni Au
2 4 3 1
Direct
0.0000 0.5000 0.2371
0.5000 0.0000 0.7629
0.0000 0.0000 0.0000
0.0000 0.5000 0.6447
0.5000 0.0000 0.3553
0.5000 0.5000 0.0000
0.0000 0.5000 0.8732
0.5000 0.0000 0.1268
0.5000 0.5000 0.5000
0.0000 0.0000 0.5000
```

Main lines, by intensity (2θ from 10° to 90°):
- 35.26 deg, I 100
- 43.80 deg, I 48
- 33.84 deg, I 42
- 74.92 deg, I 22
- 49.23 deg, I 21
- 56.47 deg, I 19
- 63.67 deg, I 15
- 67.98 deg, I 15
- 23.17 deg, I 13
- 46.89 deg, I 12

***

No. 3
Simulated XRD peak list of Ti2Ga2Ni7Au for Cu Kα (λ = 1.5418 Å), from a cell relaxed with PBE.
No peak broadening, texture or thermal motion is included.

Structure:
```
Ti2Ga2Ni7Au
1.0
2.4361 -2.4347 0.0000
2.4361 2.4347 0.0000
-2.1838 0.0000 14.1747
Ti Ga Ni Au
2 2 7 1
Direct
0.1222 0.1222 0.2671
0.8778 0.8778 0.7329
0.3226 0.3226 0.6193
0.6774 0.6774 0.3807
0.0000 0.0000 0.0000
0.0643 0.5646 0.1439
0.2118 0.2118 0.4471
0.4354 0.9357 0.8561
0.5646 0.0643 0.1439
0.7882 0.7882 0.5529
0.9357 0.4354 0.8561
0.5000 0.5000 0.0000
```

Main lines, by intensity (2θ from 10° to 90°):
- 12.49 deg, I 100
- 53.19 deg, I 87
- 41.73 deg, I 70
- 44.76 deg, I 54
- 43.60 deg, I 46
- 36.91 deg, I 45
- 44.16 deg, I 43
- 45.18 deg, I 39
- 41.40 deg, I 37
- 39.12 deg, I 33